No. 1
Theoretical powder X-ray diffraction pattern
Compound: LiAlTe3
Radiation: λ = 1.5418 Å (Cu Kα)
Structure: the PBE geometry in Alexandria

Crystal structure
Lattice parameters (Å, degrees): 8.427 7.570 11.792 90.00 121.79 90.00
Space group P2_1/c (No. 14)
Inequivalent atoms, fractional coordinates:
Li1 0.242 0.211 0.370 x4
Al1 0.125 0.677 0.561 x4
Te1 0.154 0.614 0.254 x4
Te2 0.238 0.153 0.119 x4
Te3 0.324 0.665 0.975 x4

Principal peaks in the range 2θ from 10° to 90°, most intense first:
24.62°, I 100, (2 1 -2)
30.17°, I 46, (1 2 1)
25.59°, I 42, (1 1 -3)
25.15°, I 40, (0 2 1)
24.86°, I 39, (2 0 0)
49.85°, I 26, (3 2 1)
27.78°, I 26, (2 1 -3)
44.03°, I 26, (4 0 -4)
21.26°, I 25, (0 1 2)
33.22°, I 25, (1 1 -4)

No. 2
Theoretical powder X-ray diffraction pattern
Compound: LiTi2Al3
Radiation: λ = 1.5418 Å (Cu Kα)
Structure: the PBE geometry in Alexandria

Crystal structure
Lattice parameters (Å, degrees): 2.905 2.905 11.274 90.00 90.00 90.00
Space group P4/mmm (No. 123)
Inequivalent atoms, fractional coordinates:
Li1 0.000 0.000 0.000 x1
Ti1 0.000 0.000 0.327 x2
Al1 0.500 0.500 0.160 x2
Al2 0.500 0.500 0.500 x1

Principal peaks in the range 2θ from 10° to 90°, most intense first:
39.20°, I 100, (1 0 3)
44.09°, I 35, (1 1 0)
77.78°, I 24, (2 1 3)
84.22°, I 18, (2 0 6)
67.56°, I 18, (1 1 6)
15.72°, I 17, (0 0 2)
48.44°, I 13, (0 0 6)
34.74°, I 12, (1 0 2)
31.80°, I 11, (1 0 1)
64.11°, I 11, (2 0 0)

No. 3
Theoretical powder X-ray diffraction pattern
Compound: Li14AlTl
Radiation: λ = 1.5418 Å (Cu Kα)
Structure: the PBE geometry in Alexandria

Crystal structure
Lattice parameters (Å, degrees): 6.966 6.966 6.153 90.00 90.00 90.00
Space group P4/mmm (No. 123)
Inequivalent atoms, fractional coordinates:
Li1 0.000 0.000 0.000 x1
Li2 0.000 0.500 0.000 x2
Li3 0.000 0.500 0.500 x2
Li4 0.246 0.246 0.264 x8
Li5 0.500 0.500 0.000 x1
Al1 0.000 0.000 0.500 x1
Tl1 0.500 0.500 0.500 x1

Principal peaks in the range 2θ from 10° to 90°, most intense first:
12.71°, I 100, (1 0 0)
23.13°, I 86, (1 1 1)
19.25°, I 82, (1 0 1)
18.01°, I 78, (1 1 0)
14.40°, I 67, (0 0 1)
32.21°, I 48, (2 1 1)
29.47°, I 46, (2 0 1)
39.06°, I 42, (2 0 2)
25.57°, I 34, (2 0 0)
43.64°, I 33, (3 1 1)

No. 4
Theoretical powder X-ray diffraction pattern
Compound: LiTm3Al8
Radiation: λ = 1.5418 Å (Cu Kα)
Structure: the PBE geometry in Alexandria

Crystal structure
Lattice parameters (Å, degrees): 5.4798 5.4798 26.9002 90.00 90.00 120.00
Space group R3m (No. 160, hexagonal axes)
Inequivalent atoms, fractional coordinates:
Li1 0.0000 0.0000 0.0000 x3
Tm1 0.0000 0.0000 0.1228 x3
Tm2 0.0000 0.0000 0.5002 x3
Tm3 0.0000 0.0000 0.6274 x3
Al1 0.0000 0.0000 0.3133 x3
Al2 0.0000 0.0000 0.8128 x3
Al3 0.0010 0.5005 0.0633 x9
Al4 0.1672 0.3344 0.8963 x9

Principal peaks in the range 2θ from 10° to 90°, most intense first:
38.50°, I 100, (2 0 2)
32.66°, I 87, (1 1 0)
19.83°, I 57, (0 1 2)
58.27°, I 25, (1 2 8)
62.18°, I 20, (2 1 10)
18.99°, I 16, (1 0 1)
51.36°, I 15, (1 2 2)
77.91°, I 14, (3 1 8)
62.23°, I 12, (3 0 6)
22.94°, I 11, (1 0 4)

No. 5
Theoretical powder X-ray diffraction pattern
Compound: Li3TmAl3
Radiation: λ = 1.5418 Å (Cu Kα)
Structure: the PBE geometry in Alexandria

Crystal structure
Lattice parameters (Å, degrees): 6.688 6.688 6.688 90.00 90.00 90.00
Space group Pm-3n (No. 223)
Inequivalent atoms, fractional coordinates:
Li1 0.000 0.250 0.500 x6
Tm1 0.000 0.000 0.000 x2
Al1 0.000 0.500 0.250 x6

Principal peaks in the range 2θ from 10° to 90°, most intense first:
32.80°, I 100, (2 1 1)
18.76°, I 88, (1 1 0)
51.10°, I 57, (3 2 1)
26.66°, I 43, (2 0 0)
42.76°, I 22, (3 1 0)
78.30°, I 16, (5 2 1)
62.06°, I 16, (4 2 0)
38.06°, I 15, (2 2 0)
72.00°, I 15, (5 1 0)
65.46°, I 14, (3 3 2)

No. 6
Theoretical powder X-ray diffraction pattern
Compound: LiTm5Al4
Radiation: λ = 1.5418 Å (Cu Kα)
Structure: the PBE geometry in Alexandria

Crystal structure
Lattice parameters (Å, degrees): 3.528 3.528 18.289 90.00 90.00 90.00
Space group P4/mmm (No. 123)
Inequivalent atoms, fractional coordinates:
Li1 0.000 0.000 0.000 x1
Tm1 0.500 0.500 0.109 x2
Tm2 0.500 0.500 0.304 x2
Tm3 0.500 0.500 0.500 x1
Al1 0.000 0.000 0.204 x2
Al2 0.000 0.000 0.402 x2

Principal peaks in the range 2θ from 10° to 90°, most intense first:
35.35°, I 100, (1 0 5)
25.24°, I 71, (1 0 0)
36.00°, I 49, (1 1 0)
24.33°, I 37, (0 0 5)
64.30°, I 35, (2 1 5)
43.93°, I 32, (1 1 5)
51.84°, I 18, (2 0 0)
63.02°, I 17, (1 1 10)
58.50°, I 15, (2 1 0)
58.05°, I 14, (2 0 5)

No. 7
Theoretical powder X-ray diffraction pattern
Compound: LiYTmAl
Radiation: λ = 1.5418 Å (Cu Kα)
Structure: the PBE geometry in Alexandria

Crystal structure
Lattice parameters (Å, degrees): 7.246 7.246 7.246 90.00 90.00 90.00
Space group F-43m (No. 216)
Inequivalent atoms, fractional coordinates:
Li1 0.000 0.000 0.000 x4
Y1 0.250 0.250 0.250 x4
Tm1 0.250 0.250 0.750 x4
Al1 0.000 0.000 0.500 x4

Principal peaks in the range 2θ from 10° to 90°, most intense first:
35.03°, I 100, (2 2 0)
24.57°, I 76, (2 0 0)
62.83°, I 36, (4 2 2)
56.83°, I 30, (4 2 0)
43.25°, I 22, (2 2 2)
50.38°, I 18, (4 0 0)
21.24°, I 17, (1 1 1)
84.58°, I 16, (6 2 0)
79.34°, I 14, (6 0 0)
74.01°, I 11, (4 4 0)

No. 8
Theoretical powder X-ray diffraction pattern
Compound: LiAl6V
Radiation: λ = 1.5418 Å (Cu Kα)
Structure: the PBE geometry in Alexandria

Crystal structure
Lattice parameters (Å, degrees): 5.037 5.039 5.044 89.67 89.54 89.66
Space group P-1 (No. 2)
Inequivalent atoms, fractional coordinates:
Li1 0.000 0.000 0.000 x1
Al1 0.000 0.497 0.256 x2
Al2 0.256 0.000 0.496 x2
Al3 0.497 0.256 0.000 x2
V1 0.500 0.500 0.500 x1

Principal peaks in the range 2θ from 10° to 90°, most intense first:
40.11°, I 100, (2 -1 0)
39.89°, I 97, (2 1 0)
17.60°, I 70, (0 1 0)
44.06°, I 64, (1 -1 2)
35.63°, I 60, (2 0 0)
43.76°, I 33, (1 1 2)
44.16°, I 30, (-2 1 1)
70.06°, I 18, (1 2 -3)
75.42°, I 16, (0 4 0)
69.42°, I 15, (2 3 1)

No. 9
Theoretical powder X-ray diffraction pattern
Compound: LiYAl2
Radiation: λ = 1.5418 Å (Cu Kα)
Structure: the PBE geometry in Alexandria

Crystal structure
Lattice parameters (Å, degrees): 3.542 20.158 4.479 90.00 90.00 90.00
Space group Cmcm (No. 63)
Inequivalent atoms, fractional coordinates:
Li1 0.000 0.164 0.250 x4
Y1 0.000 0.398 0.250 x4
Al1 0.000 0.034 0.250 x4
Al2 0.000 0.237 0.750 x4

Principal peaks in the range 2θ from 10° to 90°, most intense first:
34.95°, I 100, (1 3 1)
21.71°, I 60, (0 2 1)
33.68°, I 46, (1 5 0)
41.10°, I 33, (0 8 1)
26.55°, I 25, (0 6 0)
53.48°, I 24, (1 5 2)
40.27°, I 23, (0 0 2)
33.34°, I 17, (0 6 1)
56.59°, I 17, (1 11 0)
68.01°, I 15, (2 8 1)

No. 10
Theoretical powder X-ray diffraction pattern
Compound: LiY2Al
Radiation: λ = 1.5418 Å (Cu Kα)
Structure: the PBE geometry in Alexandria

Crystal structure
Lattice parameters (Å, degrees): 4.791 3.483 11.941 90.00 90.00 90.00
Space group Amm2 (No. 38)
Inequivalent atoms, fractional coordinates:
Li1 0.000 0.000 0.000 x2
Y1 0.000 0.000 0.278 x2
Y2 0.500 0.000 0.601 x2
Al1 0.500 0.000 0.872 x2

Principal peaks in the range 2θ from 10° to 90°, most intense first:
32.66°, I 100, (1 1 1)
23.81°, I 79, (1 0 2)
34.21°, I 57, (0 1 3)
35.43°, I 43, (1 0 4)
51.69°, I 34, (2 1 3)
37.55°, I 27, (2 0 0)
14.84°, I 22, (0 0 2)
50.07°, I 21, (1 1 5)
66.37°, I 16, (2 2 0)
29.93°, I 15, (0 0 4)

No. 11
Theoretical powder X-ray diffraction pattern
Compound: LiYAlZn6
Radiation: λ = 1.5418 Å (Cu Kα)
Structure: the PBE geometry in Alexandria

Crystal structure
Lattice parameters (Å, degrees): 6.873 8.946 11.053 90.00 90.00 90.00
Space group Imma (No. 74)
Inequivalent atoms, fractional coordinates:
Li1 0.250 0.250 0.250 x4
Y1 0.000 0.250 0.698 x4
Al1 0.000 0.000 0.500 x4
Zn1 0.000 0.250 0.014 x4
Zn2 0.000 0.250 0.419 x4
Zn3 0.184 0.017 0.871 x16

Principal peaks in the range 2θ from 10° to 90°, most intense first:
32.87°, I 100, (2 2 0)
34.12°, I 75, (1 2 3)
40.33°, I 51, (0 4 0)
38.29°, I 43, (0 2 4)
46.70°, I 32, (3 0 3)
12.73°, I 25, (0 1 1)
41.95°, I 25, (2 0 4)
37.16°, I 24, (2 1 3)
40.20°, I 20, (3 0 1)
76.27°, I 19, (3 2 7)

No. 12
Theoretical powder X-ray diffraction pattern
Compound: LiAl5Zn3
Radiation: λ = 1.5418 Å (Cu Kα)
Structure: the PBE geometry in Alexandria

Crystal structure
Lattice parameters (Å, degrees): 8.622 7.247 11.110 90.00 108.85 90.00
Space group C2/m (No. 12)
Inequivalent atoms, fractional coordinates:
Li1 0.108 0.000 0.273 x4
Al1 0.000 0.325 0.000 x4
Al2 0.103 0.273 0.667 x8
Al3 0.123 0.500 0.263 x4
Al4 0.196 0.500 0.878 x4
Zn1 0.000 0.000 0.000 x2
Zn2 0.000 0.000 0.500 x2
Zn3 0.172 0.500 0.500 x4
Zn4 0.195 0.000 0.871 x4

Principal peaks in the range 2θ from 10° to 90°, most intense first:
24.57°, I 100, (0 2 0)
35.64°, I 73, (0 2 3)
16.87°, I 65, (0 0 2)
38.88°, I 60, (2 0 3)
34.15°, I 52, (3 1 -2)
19.98°, I 46, (1 1 1)
40.62°, I 41, (2 2 2)
29.95°, I 40, (0 2 2)
41.23°, I 39, (3 1 -4)
42.47°, I 35, (2 2 -4)

No. 13
Theoretical powder X-ray diffraction pattern
Compound: Li2AlZn6
Radiation: λ = 1.5418 Å (Cu Kα)
Structure: the PBE geometry in Alexandria

Crystal structure
Lattice parameters (Å, degrees): 12.183 9.884 4.669 90.00 99.58 90.00
Space group C2/c (No. 15)
Inequivalent atoms, fractional coordinates:
Li1 0.167 0.138 0.086 x8
Al1 0.000 0.346 0.250 x4
Zn1 0.060 0.112 0.531 x8
Zn2 0.110 0.379 0.804 x8
Zn3 0.224 0.384 0.359 x8

Principal peaks in the range 2θ from 10° to 90°, most intense first:
42.70°, I 100, (4 2 1)
36.36°, I 75, (0 4 0)
39.68°, I 68, (1 1 -2)
40.39°, I 55, (5 1 -1)
28.76°, I 48, (2 2 -1)
48.37°, I 42, (5 3 -1)
23.98°, I 35, (3 1 0)
23.60°, I 32, (1 1 1)
69.80°, I 28, (4 6 1)
47.76°, I 27, (1 3 -2)